1.
Computed X-ray diffraction stick pattern
Compound: Mn4Cu6F19
Radiation: CuKα
Structure: a cell relaxed with GGA+U

Main lines, low angle first (10 to 90 degrees two-theta):
- 19.81 deg, d 4.481, I 26
- 24.33 deg, d 3.659, I 88
- 31.57 deg, d 2.834, I 100
- 34.67 deg, d 2.587, I 58
- 37.55 deg, d 2.395, I 74
- 42.81 deg, d 2.113, I 27
- 49.84 deg, d 1.830, I 32
- 52.03 deg, d 1.758, I 75
- 56.21 deg, d 1.636, I 30
- 64.04 deg, d 1.454, I 31

Atomic structure:
abc: 7.762 7.762 7.762
angles: 109.47 109.47 109.47
Element x y z (fractional)
Mn 0.000 0.000 0.720
Mn 0.000 0.720 0.000
Mn 0.280 0.280 0.280
Mn 0.720 0.000 0.000
Cu 0.182 0.682 0.500
Cu 0.318 0.500 0.818
Cu 0.500 0.182 0.682
Cu 0.500 0.818 0.318
Cu 0.682 0.500 0.182
Cu 0.818 0.318 0.500
F 0.000 0.000 0.000
F 0.000 0.298 0.298
F 0.000 0.702 0.702
F 0.017 0.250 0.641
F 0.233 0.983 0.624
F 0.250 0.641 0.017
F 0.298 0.000 0.298
F 0.298 0.298 0.000
F 0.359 0.609 0.376
F 0.376 0.359 0.609
F 0.391 0.750 0.767
F 0.609 0.376 0.359
F 0.624 0.233 0.983
F 0.641 0.017 0.250
F 0.702 0.000 0.702
F 0.702 0.702 0.000
F 0.750 0.767 0.391
F 0.767 0.391 0.750
F 0.983 0.624 0.233

=====

2.
Computed X-ray diffraction stick pattern
Compound: Mn2CuPbF8
Radiation: CuKα
Structure: a cell relaxed with GGA+U

Main lines, low angle first (10 to 90 degrees two-theta):
- 17.20 deg, d 5.155, I 43
- 21.62 deg, d 4.111, I 42
- 23.80 deg, d 3.738, I 84
- 25.02 deg, d 3.559, I 70
- 31.48 deg, d 2.842, I 100
- 34.80 deg, d 2.578, I 28
- 36.51 deg, d 2.461, I 28
- 46.94 deg, d 1.936, I 58
- 48.30 deg, d 1.884, I 46
- 60.25 deg, d 1.536, I 30

Atomic structure:
abc: 5.154 6.813 5.168
angles: 90.00 92.81 90.00
Element x y z (fractional)
Mn 0.000 0.233 0.000
Mn 0.000 0.767 0.000
Cu 0.500 0.000 0.500
Pb 0.500 0.500 0.500
F 0.173 0.500 0.833
F 0.190 0.000 0.816
F 0.303 0.206 0.308
F 0.303 0.794 0.308
F 0.697 0.206 0.692
F 0.697 0.794 0.692
F 0.810 0.000 0.184
F 0.827 0.500 0.167

=====

3.
Computed X-ray diffraction stick pattern
Compound: Rb2MnCu2F6
Radiation: CuKα
Structure: a cell relaxed with GGA+U

Main lines, low angle first (10 to 90 degrees two-theta):
- 26.86 deg, d 3.319, I 19
- 28.22 deg, d 3.162, I 100
- 29.52 deg, d 3.026, I 44
- 31.43 deg, d 2.847, I 60
- 31.74 deg, d 2.819, I 28
- 40.17 deg, d 2.245, I 22
- 43.18 deg, d 2.095, I 35
- 49.13 deg, d 1.855, I 14
- 51.57 deg, d 1.772, I 17
- 58.36 deg, d 1.581, I 17

Atomic structure:
abc: 6.334 6.334 6.712
angles: 118.46 118.46 57.08
Element x y z (fractional)
Rb 0.222 0.222 0.186
Rb 0.778 0.778 0.814
Mn 0.000 0.000 0.500
Cu 0.431 0.431 0.775
Cu 0.569 0.569 0.225
F 0.200 0.715 0.238
F 0.228 0.228 0.646
F 0.285 0.800 0.762
F 0.715 0.200 0.238
F 0.772 0.772 0.354
F 0.800 0.285 0.762

=====

4.
Computed X-ray diffraction stick pattern
Compound: Cu2MoF8
Radiation: CuKα
Structure: a cell relaxed with GGA+U

Main lines, low angle first (10 to 90 degrees two-theta):
- 19.37 deg, d 4.582, I 48
- 20.00 deg, d 4.440, I 29
- 25.52 deg, d 3.491, I 89
- 25.76 deg, d 3.458, I 100
- 27.85 deg, d 3.203, I 70
- 44.00 deg, d 2.058, I 37
- 45.19 deg, d 2.007, I 21
- 51.32 deg, d 1.780, I 19
- 52.42 deg, d 1.745, I 23
- 58.39 deg, d 1.580, I 18

Atomic structure:
abc: 4.440 5.712 5.811
angles: 74.60 89.38 89.78
Element x y z (fractional)
Cu 0.247 0.379 0.392
Cu 0.753 0.621 0.608
Mo 0.000 0.000 0.000
F 0.225 0.089 0.684
F 0.238 0.700 0.114
F 0.254 0.588 0.600
F 0.266 0.185 0.161
F 0.734 0.815 0.839
F 0.746 0.412 0.400
F 0.762 0.300 0.886
F 0.775 0.911 0.316

=====

5.
Computed X-ray diffraction stick pattern
Compound: TlCuMoF
Radiation: CuKα
Structure: a cell relaxed with GGA+U

Main lines, low angle first (10 to 90 degrees two-theta):
- 15.33 deg, d 5.780, I 34
- 22.44 deg, d 3.962, I 56
- 28.01 deg, d 3.186, I 24
- 30.94 deg, d 2.890, I 40
- 34.41 deg, d 2.606, I 22
- 35.73 deg, d 2.513, I 44
- 37.87 deg, d 2.376, I 100
- 42.88 deg, d 2.109, I 24
- 44.70 deg, d 2.028, I 26
- 57.01 deg, d 1.615, I 22

Atomic structure:
abc: 6.372 6.372 6.372
angles: 149.85 141.35 49.78
Element x y z (fractional)
Tl 0.000 0.000 0.000
Cu 0.571 0.571 0.000
Mo 0.764 0.264 0.500
F 0.280 0.280 0.000